Record 1
Simulated powder diffraction line list
Compound: Ce3Cu3Sb4
Radiation: Cu Kα (weighted mean of Kα1 and Kα2)
Structure: a structure optimized by DFT (GGA-PBE)
Lines closer than 0.1° are merged.

The 6 most intense peaks (2θ = 15–90°), low angle first:
- hkl 3 1 0, 2θ = 29.0°, I 50.1
- hkl 3 2 1, 2θ = 34.5°, I 100.0
- hkl 4 2 0, 2θ = 41.5°, I 32.9
- hkl 4 2 2, 2θ = 45.7°, I 17.1
- hkl 6 1 1, 2θ = 58.5°, I 16.2
- hkl 6 2 0, 2θ = 60.2°, I 13.3

Structure:
a = 9.7269 Å, b = 9.7269 Å, c = 9.7269 Å
α = 90.00°, β = 90.00°, γ = 90.00°
Space group I-43d (No. 220)
Asymmetric unit:
Ce 0.0000 0.2500 0.8750 [12 per cell]
Cu 0.0000 0.2500 0.3750 [12 per cell]
Sb 0.0803 0.4197 0.5803 [16 per cell]



Record 2
Simulated powder diffraction line list
Compound: CeCu2Sb2
Radiation: Cu Kα (weighted mean of Kα1 and Kα2)
Structure: a structure optimized by DFT (GGA-PBE)
Lines closer than 0.1° are merged.

The 6 most intense peaks (2θ = 15–90°), low angle first:
- hkl 1 1 2, 2θ = 32.4°, I 100.0
- hkl 2 0 0, 2θ = 38.9°, I 44.5
- hkl 1 0 5, 2θ = 48.3°, I 14.5
- hkl 2 1 3, 2θ = 51.5°, I 19.9
- hkl 2 2 0, 2θ = 56.2°, I 14.8
- hkl 3 1 2, 2θ = 66.4°, I 19.6

Structure:
a = 4.6265 Å, b = 4.6265 Å, c = 10.3178 Å
α = 90.00°, β = 90.00°, γ = 90.00°
Space group P4/nmm (No. 129, origin choice 2)
Asymmetric unit:
Ce 0.2500 0.2500 0.2440 [2 per cell]
Cu 0.2500 0.2500 0.6288 [2 per cell]
Cu 0.2500 0.7500 0.0000 [2 per cell]
Sb 0.2500 0.2500 0.8710 [2 per cell]
Sb 0.2500 0.7500 0.5000 [2 per cell]



Record 3
Simulated powder diffraction line list
Compound: CeCuSb2
Radiation: Cu Kα (weighted mean of Kα1 and Kα2)
Structure: a structure optimized by DFT (GGA-PBE)
Lines closer than 0.1° are merged.

The 6 most intense peaks (2θ = 15–90°), low angle first:
- hkl 0 0 3, 2θ = 27.1°, I 20.5
- hkl 1 1 1, 2θ = 30.1°, I 12.2
- hkl 1 1 2, 2θ = 34.1°, I 100.0
- hkl 2 0 0, 2θ = 41.0°, I 35.9
- hkl 1 0 5, 2θ = 50.7°, I 12.4
- hkl 3 1 2, 2θ = 70.3°, I 21.6

Structure:
a = 4.4006 Å, b = 4.4006 Å, c = 9.8726 Å
α = 90.00°, β = 90.00°, γ = 90.00°
Space group P4/nmm (No. 129, origin choice 2)
Asymmetric unit:
Ce 0.2500 0.2500 0.2456 [2 per cell]
Cu 0.2500 0.7500 0.0000 [2 per cell]
Sb 0.2500 0.2500 0.8421 [2 per cell]
Sb 0.2500 0.7500 0.5000 [2 per cell]



Record 4
Simulated powder diffraction line list
Compound: Ce4Cu5Sb8
Radiation: Cu Kα (weighted mean of Kα1 and Kα2)
Structure: a structure optimized by DFT (GGA-PBE)
Lines closer than 0.1° are merged.

The 6 most intense peaks (2θ = 15–90°), low angle first:
- hkl 1 1 4, 2θ = 33.3°, I 100.0
- hkl 1 0 6, 2θ = 33.5°, I 26.4
- hkl 2 0 0, 2θ = 39.8°, I 50.4
- hkl 1 0 10, 2θ = 50.1°, I 15.6
- hkl 2 2 0, 2θ = 57.6°, I 16.7
- hkl 3 1 4, 2θ = 68.1°, I 24.0

Structure:
a = 4.5286 Å, b = 4.5286 Å, c = 19.9031 Å
α = 90.00°, β = 90.00°, γ = 90.00°
Space group P4mm (No. 99)
Asymmetric unit:
Ce 0.0000 0.0000 0.0000 [1 per cell]
Ce 0.0000 0.0000 0.4896 [1 per cell]
Ce 0.5000 0.5000 0.2496 [1 per cell]
Ce 0.5000 0.5000 0.7485 [1 per cell]
Cu 0.0000 0.0000 0.6847 [1 per cell]
Cu 0.0000 0.5000 0.3727 [2 per cell]
Cu 0.0000 0.5000 0.8774 [2 per cell]
Sb 0.0000 0.0000 0.2963 [1 per cell]
Sb 0.0000 0.0000 0.8091 [1 per cell]
Sb 0.0000 0.5000 0.1242 [2 per cell]
Sb 0.0000 0.5000 0.6151 [2 per cell]
Sb 0.5000 0.5000 0.4490 [1 per cell]
Sb 0.5000 0.5000 0.9545 [1 per cell]